Computed powder diffractogram
Compound: Na3WN2
Radiation: a wavelength of 1.5418 Å
Structure: the GGA-PBE geometry in the Materials Project
No peak broadening, texture or thermal motion is included.

Atomic structure:
Unit cell a=6.4675 b=6.4675 c=24.8037 alpha=90.00 beta=90.00 gamma=90.00
Space group I4_1/amd (No. 141, origin choice 2)
Symmetry-distinct sites (fractional):
Na: 0.0000 0.2500 0.2561 [8 per cell]
Na: 0.2432 0.0068 0.8750 [16 per cell]
W: 0.0000 0.2500 0.7644 [8 per cell]
N: 0.0000 0.0256 0.8058 [16 per cell]

Top 8 peaks for 2θ = 5–70°, low angle first:
(hkl)	2θ (°)	I (rel.)
1 0 1	14.15	80
0 0 4	14.28	49
1 0 5	22.59	44
2 0 0	27.58	23
2 0 4	31.18	100
2 2 0	39.41	19
2 2 8	49.53	20
4 2 4	66.37	18


Computed powder diffractogram
Compound: Na3YN6
Radiation: a wavelength of 1.5418 Å
Structure: the GGA-PBE geometry in the Materials Project
No peak broadening, texture or thermal motion is included.

Atomic structure:
Unit cell a=7.2657 b=10.1052 c=21.8540 alpha=90.00 beta=90.00 gamma=90.00
Space group Fddd (No. 70, origin choice 2)
Symmetry-distinct sites (fractional):
Na: 0.1250 0.1250 0.1250 [8 per cell]
Na: 0.1250 0.1250 0.4597 [16 per cell]
Y: 0.1250 0.1250 0.6250 [8 per cell]
N: 0.0966 0.3610 0.7998 [32 per cell]
N: 0.1250 0.3597 0.6250 [16 per cell]

Top 8 peaks for 2θ = 5–70°, low angle first:
(hkl)	2θ (°)	I (rel.)
1 1 1	15.56	100
0 0 4	16.22	41
0 2 2	19.36	51
1 1 5	25.36	21
2 2 0	30.28	24
2 0 6	34.88	67
0 4 0	35.54	32
2 4 6	50.65	39


Computed powder diffractogram
Compound: Na3YN4
Radiation: a wavelength of 1.5418 Å
Structure: the GGA-PBE geometry in the Materials Project
No peak broadening, texture or thermal motion is included.

Atomic structure:
Unit cell a=9.6437 b=10.1022 c=23.7070 alpha=90.00 beta=90.00 gamma=90.00
Space group Fddd (No. 70, origin choice 2)
Symmetry-distinct sites (fractional):
Na: 0.0000 0.0000 0.0000 [16 per cell]
Na: 0.0450 0.0033 0.3556 [32 per cell]
Y: 0.0000 0.0000 0.5000 [16 per cell]
N: 0.0034 0.0141 0.7645 [32 per cell]
N: 0.0573 0.2624 0.4374 [32 per cell]

Top 8 peaks for 2θ = 5–70°, low angle first:
(hkl)	2θ (°)	I (rel.)
1 1 1	13.23	85
0 0 4	14.95	100
1 1 3	16.95	36
2 2 2	26.64	37
1 1 7	29.31	35
0 0 8	30.16	32
2 2 6	34.29	89
0 4 0	35.55	52


Computed powder diffractogram
Compound: NaZnN
Radiation: a wavelength of 1.5418 Å
Structure: the GGA-PBE geometry in the Materials Project
No peak broadening, texture or thermal motion is included.

Atomic structure:
Unit cell a=3.4504 b=3.4504 c=8.6872 alpha=90.00 beta=90.00 gamma=120.00
Space group P6_3mc (No. 186)
Symmetry-distinct sites (fractional):
Na: 0.3333 0.6667 0.0000 [2 per cell]
Zn: 0.0000 0.0000 0.2698 [2 per cell]
N: 0.3333 0.6667 0.2915 [2 per cell]

Top 8 peaks for 2θ = 5–70°, low angle first:
(hkl)	2θ (°)	I (rel.)
0 0 2	20.45	49
1 0 0	29.90	39
1 0 2	36.50	100
0 0 4	41.58	21
1 0 4	52.06	18
1 1 0	53.09	31
2 0 2	66.14	16
1 1 4	69.60	23


Computed powder diffractogram
Compound: Na2ZrN2
Radiation: a wavelength of 1.5418 Å
Structure: the GGA-PBE geometry in the Materials Project
No peak broadening, texture or thermal motion is included.

Atomic structure:
Unit cell a=3.3573 b=3.3573 c=8.8855 alpha=90.00 beta=90.00 gamma=120.00
Space group P-3m1 (No. 164)
Symmetry-distinct sites (fractional):
Na: 0.3333 0.6667 0.2067 [2 per cell]
Zr: 0.0000 0.0000 0.5000 [1 per cell]
N: 0.3333 0.6667 0.6314 [2 per cell]

Top 8 peaks for 2θ = 5–70°, low angle first:
(hkl)	2θ (°)	I (rel.)
0 0 1	9.95	100
0 0 3	30.17	8
1 0 1	32.40	31
0 1 2	36.95	38
0 1 3	43.62	14
1 0 4	51.79	9
1 1 0	54.68	10
1 0 5	61.12	8


Computed powder diffractogram
Compound: Nb3N
Radiation: a wavelength of 1.5418 Å
Structure: the GGA-PBE geometry in the Materials Project
No peak broadening, texture or thermal motion is included.

Atomic structure:
Unit cell a=5.3004 b=5.4402 c=9.8655 alpha=90.00 beta=117.96 gamma=90.00
Space group Pc (No. 7)
Symmetry-distinct sites (fractional):
Nb: 0.0000 0.0576 0.0000 [2 per cell]
Nb: 0.0914 0.4422 0.5319 [2 per cell]
Nb: 0.1847 0.1758 0.2987 [2 per cell]
Nb: 0.4472 0.3412 0.8866 [2 per cell]
Nb: 0.6097 0.1936 0.2163 [2 per cell]
Nb: 0.7351 0.3112 0.6869 [2 per cell]
N: 0.3527 0.1322 0.6853 [2 per cell]
N: 0.8288 0.3399 0.0985 [2 per cell]

Top 8 peaks for 2θ = 5–70°, low angle first:
(hkl)	2θ (°)	I (rel.)
2 0 -2	33.93	59
1 0 2	34.06	84
0 2 1	34.54	66
1 0 -4	36.43	99
2 1 -1	38.57	63
0 2 2	39.02	100
2 1 -3	40.01	44
1 2 -3	43.43	44


Computed powder diffractogram
Compound: NbN
Radiation: a wavelength of 1.5418 Å
Structure: the GGA-PBE geometry in the Materials Project
No peak broadening, texture or thermal motion is included.

Atomic structure:
Unit cell a=4.4525 b=4.4525 c=4.4525 alpha=90.00 beta=90.00 gamma=90.00
Space group Fm-3m (No. 225)
Symmetry-distinct sites (fractional):
Nb: 0.0000 0.0000 0.0000 [4 per cell]
N: 0.0000 0.0000 0.5000 [4 per cell]

Top 3 peaks for 2θ = 5–70°, low angle first:
(hkl)	2θ (°)	I (rel.)
1 1 1	34.90	100
2 0 0	40.52	86
2 2 0	58.65	54


Computed powder diffractogram
Compound: NbN
Radiation: a wavelength of 1.5418 Å
Structure: the GGA-PBE geometry in the Materials Project
No peak broadening, texture or thermal motion is included.

Atomic structure:
Unit cell a=2.7593 b=2.7593 c=2.7593 alpha=90.00 beta=90.00 gamma=90.00
Space group Pm-3m (No. 221)
Symmetry-distinct sites (fractional):
Nb: 0.0000 0.0000 0.0000 [1 per cell]
N: 0.5000 0.5000 0.5000 [1 per cell]

Top 4 peaks for 2θ = 5–70°, low angle first:
(hkl)	2θ (°)	I (rel.)
1 0 0	32.45	81
1 1 0	46.55	100
1 1 1	57.88	21
2 0 0	67.94	15


Computed powder diffractogram
Compound: Nb20N17
Radiation: a wavelength of 1.5418 Å
Structure: the GGA-PBE geometry in the Materials Project
No peak broadening, texture or thermal motion is included.

Atomic structure:
Unit cell a=15.3350 b=6.2711 c=10.3582 alpha=90.00 beta=119.69 gamma=90.00
Space group C2/m (No. 12)
Symmetry-distinct sites (fractional):
Nb: 0.0480 0.2380 0.4041 [8 per cell]
Nb: 0.0501 0.5000 0.9001 [4 per cell]
Nb: 0.0572 0.0000 0.9085 [4 per cell]
Nb: 0.1402 0.0000 0.6873 [4 per cell]
Nb: 0.1513 0.2401 0.1951 [8 per cell]
Nb: 0.1569 0.5000 0.7082 [4 per cell]
Nb: 0.2489 0.0000 0.4994 [4 per cell]
Nb: 0.2500 0.2500 0.0000 [4 per cell]
N: 0.0000 0.2484 0.0000 [4 per cell]
N: 0.0000 0.5000 0.5000 [2 per cell]
N: 0.0957 0.0000 0.2943 [4 per cell]
N: 0.1005 0.2503 0.8000 [8 per cell]
N: 0.1007 0.5000 0.3009 [4 per cell]
N: 0.2002 0.2502 0.6011 [8 per cell]
N: 0.2046 0.5000 0.1056 [4 per cell]

Top 8 peaks for 2θ = 5–70°, low angle first:
(hkl)	2θ (°)	I (rel.)
2 2 1	35.12	100
2 0 -4	35.22	33
5 1 0	36.69	1
4 2 -3	40.74	71
4 0 2	40.93	34
0 4 0	58.91	11
8 0 -6	59.05	33
0 2 5	59.20	21